SrAc8Rh5: computed powder diffractogram (CuKα), based on DFT lattice parameters and positions (PBE).
Lines closer than 0.1° are merged.

Most intense lines, 5 to 70 degrees two-theta, sorted by position:
- hkl 0 0 1, 8.53°, d 10.361, I = 42
- hkl 0 0 3, 25.80°, d 3.454, I = 33
- hkl 3 1 1, 26.28°, d 3.391, I = 100
- hkl 6 0 -2, 26.44°, d 3.371, I = 49
- hkl 3 1 -2, 27.67°, d 3.224, I = 74
- hkl 6 0 1, 27.86°, d 3.203, I = 37
- hkl 3 1 3, 37.51°, d 2.398, I = 35
- hkl 0 2 0, 41.38°, d 2.182, I = 33
- hkl 9 1 -1, 41.73°, d 2.165, I = 61
- hkl 6 2 -2, 49.74°, d 1.833, I = 41

Cell and atoms:
Cell: 22.434 4.364 10.659 Å, 90.00 103.58 90.00°
Space group C2/m (No. 12)
One atom of each set of equivalent atoms:
Sr (0.000, 0.000, 0.000)
Ac (0.072, 0.000, 0.658)
Ac (0.094, 0.500, 0.346)
Ac (0.175, 0.500, 0.992)
Ac (0.241, 0.500, 0.661)
Rh (0.000, 0.500, 0.500)
Rh (0.165, 0.000, 0.502)
Rh (0.202, 0.000, 0.823)

YHo4Mg7: computed powder diffractogram (CuKα), based on DFT lattice parameters and positions (PBE).
Lines closer than 0.1° are merged.

Most intense lines, 5 to 70 degrees two-theta, sorted by position:
- hkl 1 0 0, 19.38°, d 4.581, I = 19
- hkl 0 1 1, 20.52°, d 4.327, I = 82
- hkl 0 1 3, 28.13°, d 3.172, I = 45
- hkl 1 0 4, 33.49°, d 2.676, I = 100
- hkl 1 1 0, 33.90°, d 2.645, I = 97
- hkl 2 0 1, 39.95°, d 2.257, I = 15
- hkl 0 2 4, 48.38°, d 1.881, I = 40
- hkl 0 1 8, 59.60°, d 1.551, I = 17
- hkl 2 1 4, 60.37°, d 1.533, I = 50
- hkl 3 0 0, 60.64°, d 1.527, I = 17

Cell and atoms:
Cell: 5.2897 5.2897 13.1886 Å, 90.00 90.00 120.00°
Space group P-3m1 (No. 164)
One atom of each set of equivalent atoms:
Y (0.0000, 0.0000, 0.0000)
Ho (0.3333, 0.6667, 0.1624)
Ho (0.3333, 0.6667, 0.4221)
Mg (0.0000, 0.0000, 0.2621)
Mg (0.0000, 0.0000, 0.5000)
Mg (0.3333, 0.6667, 0.6814)
Mg (0.3333, 0.6667, 0.9176)

CrCo2Br: computed powder diffractogram (CuKα), based on DFT lattice parameters and positions (PBE).
Lines closer than 0.1° are merged.

Most intense lines, 5 to 70 degrees two-theta, sorted by position:
- hkl 0 0 1, 14.49°, d 6.112, I = 19
- hkl 1 0 0, 28.53°, d 3.129, I = 41
- hkl 0 0 2, 29.22°, d 3.056, I = 24
- hkl 0 1 1, 32.14°, d 2.785, I = 100
- hkl 0 1 2, 41.29°, d 2.186, I = 95
- hkl 1 1 0, 50.52°, d 1.807, I = 71
- hkl 1 0 3, 53.68°, d 1.707, I = 41
- hkl 1 1 2, 59.43°, d 1.555, I = 18
- hkl 2 0 1, 61.15°, d 1.516, I = 14
- hkl 2 0 2, 67.22°, d 1.393, I = 20

Cell and atoms:
Cell: 3.6132 3.6132 6.1123 Å, 90.00 90.00 120.00°
Space group P3m1 (No. 156)
One atom of each set of equivalent atoms:
Cr (0.0000, 0.0000, 0.0000)
Co (0.3333, 0.6667, 0.6714)
Co (0.6667, 0.3333, 0.7795)
Br (0.3333, 0.6667, 0.2679)

TaTlNi: computed powder diffractogram (CuKα), based on DFT lattice parameters and positions (PBE).
Lines closer than 0.1° are merged.

Most intense lines, 5 to 70 degrees two-theta, sorted by position:
- hkl 1 0 1, 30.17°, d 2.962, I = 28
- hkl 0 0 4, 32.10°, d 2.788, I = 16
- hkl 1 0 3, 37.99°, d 2.368, I = 100
- hkl 1 1 0, 41.56°, d 2.173, I = 44
- hkl 0 0 6, 49.01°, d 1.859, I = 8
- hkl 1 1 4, 53.46°, d 1.714, I = 16
- hkl 2 0 0, 60.23°, d 1.536, I = 15
- hkl 1 0 7, 66.05°, d 1.414, I = 14
- hkl 1 1 6, 66.16°, d 1.412, I = 13
- hkl 2 0 4, 69.91°, d 1.346, I = 7

Cell and atoms:
Cell: 3.073 3.073 11.153 Å, 90.00 90.00 90.00°
Space group I4mm (No. 107)
One atom of each set of equivalent atoms:
Ta (0.000, 0.000, 0.000)
Tl (0.000, 0.000, 0.704)
Ni (0.000, 0.000, 0.376)

LiTlPb4: computed powder diffractogram (CuKα), based on DFT lattice parameters and positions (PBE).
Lines closer than 0.1° are merged.

Most intense lines, 5 to 70 degrees two-theta, sorted by position:
- hkl 0 4 0, 13.45°, d 6.585, I = 9
- hkl 1 1 1, 24.18°, d 3.681, I = 11
- hkl 1 3 1, 26.03°, d 3.424, I = 38
- hkl 2 0 0, 33.91°, d 2.644, I = 100
- hkl 0 10 0, 34.04°, d 2.634, I = 11
- hkl 0 0 2, 34.27°, d 2.617, I = 22
- hkl 2 0 2, 49.03°, d 1.858, I = 24
- hkl 3 7 1, 60.69°, d 1.526, I = 20
- hkl 1 7 3, 61.12°, d 1.516, I = 15
- hkl 1 17 1, 65.24°, d 1.430, I = 10

Cell and atoms:
Cell: 5.282 26.339 5.234 Å, 90.00 90.00 90.00°
Space group Cmc2_1 (No. 36)
One atom of each set of equivalent atoms:
Li (0.000, 0.103, 0.000)
Tl (0.000, 0.338, 0.494)
Pb (0.000, 0.040, 0.502)
Pb (0.000, 0.169, 0.497)
Pb (0.000, 0.250, 0.995)
Pb (0.000, 0.463, 0.507)

LaHo3TmTh: computed powder diffractogram (CuKα), based on DFT lattice parameters and positions (PBE).
Lines closer than 0.1° are merged.

Most intense lines, 5 to 70 degrees two-theta, sorted by position:
- hkl 2 1 -2, 30.56°, d 2.925, I = 100
- hkl 1 1 2, 30.75°, d 2.907, I = 99
- hkl 0 2 0, 35.48°, d 2.530, I = 68
- hkl 3 0 0, 35.68°, d 2.516, I = 33
- hkl 1 2 -4, 51.05°, d 1.789, I = 24
- hkl 3 2 0, 51.23°, d 1.783, I = 24
- hkl 3 1 -6, 60.51°, d 1.530, I = 14
- hkl 2 3 -2, 60.73°, d 1.525, I = 14
- hkl 1 3 2, 60.84°, d 1.522, I = 43
- hkl 4 1 2, 61.17°, d 1.515, I = 14

Cell and atoms:
Cell: 7.984 5.055 10.132 Å, 90.00 109.01 90.00°
Space group P2_1/m (No. 11)
One atom of each set of equivalent atoms:
La (0.170, 0.250, 0.293)
Ho (0.171, 0.750, 0.545)
Ho (0.176, 0.750, 0.043)
Ho (0.177, 0.250, 0.794)
Tm (0.499, 0.250, 0.629)
Th (0.498, 0.750, 0.878)